# CaAl3PSO14
Calculated powder XRD pattern, Cu Kα X-rays. Input: a PBE-relaxed structure.

Crystal structure
Lattice parameters (Å, degrees): 6.8495 6.8495 6.8495 61.00 61.00 61.00
Atoms (fractional coordinates):
Ca1 0.0000 0.0000 0.0000
Al1 0.5009 0.9978 0.9978
Al2 0.9978 0.5009 0.9978
Al3 0.9978 0.9978 0.5009
P1 0.6857 0.6857 0.6857
S1 0.3146 0.3146 0.3146
O1 0.0924 0.7522 0.7522
O2 0.1647 0.1647 0.5147
O3 0.1647 0.5147 0.1647
O4 0.2491 0.2491 0.9099
O5 0.2491 0.9099 0.2491
O6 0.4011 0.4011 0.4011
O7 0.4773 0.8395 0.8395
O8 0.5147 0.1647 0.1647
O9 0.5929 0.5929 0.5929
O10 0.7522 0.0924 0.7522
O11 0.7522 0.7522 0.0924
O12 0.8395 0.4773 0.8395
O13 0.8395 0.8395 0.4773
O14 0.9099 0.2491 0.2491

Principal peaks in the range 10 to 90 degrees two-theta, by angle:
2θ (°)  I_rel
15.65  32
18.18  38
25.62  48
30.16  40
30.34  100
32.26  15
40.79  48
48.21  47
52.65  29
63.89  21

# AsRh2
Calculated powder XRD pattern, Cu Kα X-rays. Input: a PBE-relaxed structure.

Crystal structure
Lattice parameters (Å, degrees): 4.0704 4.0704 4.0704 60.00 60.00 60.00
Atoms (fractional coordinates):
As1 0.0000 0.0000 0.0000
Rh1 0.2500 0.2500 0.2500
Rh2 0.7500 0.7500 0.7500

Principal peaks in the range 10 to 90 degrees two-theta, by angle:
2θ (°)  I_rel
26.83  19
31.07  30
44.52  100
52.74  9
55.28  7
64.78  16
71.43  3
73.59  9
82.00  33
88.20  3

# Tb4CdRh
Calculated powder XRD pattern, Cu Kα X-rays. Input: a PBE-relaxed structure.

Crystal structure
Lattice parameters (Å, degrees): 9.6721 9.6721 9.6721 60.00 60.00 60.00
Atoms (fractional coordinates):
Tb1 0.0605 0.0605 0.4395
Tb2 0.0605 0.4395 0.0605
Tb3 0.0605 0.4395 0.4395
Tb4 0.1861 0.1861 0.8139
Tb5 0.1861 0.8139 0.1861
Tb6 0.1861 0.8139 0.8139
Tb7 0.2020 0.5994 0.5994
Tb8 0.4395 0.0605 0.0605
Tb9 0.4395 0.0605 0.4395
Tb10 0.4395 0.4395 0.0605
Tb11 0.5994 0.2020 0.5994
Tb12 0.5994 0.5994 0.2020
Tb13 0.5994 0.5994 0.5994
Tb14 0.8139 0.1861 0.1861
Tb15 0.8139 0.1861 0.8139
Tb16 0.8139 0.8139 0.1861
Cd1 0.5078 0.8307 0.8307
Cd2 0.8307 0.5078 0.8307
Cd3 0.8307 0.8307 0.5078
Cd4 0.8307 0.8307 0.8307
Rh1 0.3924 0.3924 0.3924
Rh2 0.3924 0.3924 0.8228
Rh3 0.3924 0.8228 0.3924
Rh4 0.8228 0.3924 0.3924

Principal peaks in the range 10 to 90 degrees two-theta, by angle:
2θ (°)  I_rel
28.44  25
32.06  51
34.06  100
37.18  30
54.95  10
57.14  47
58.43  13
68.22  15
86.21  14
88.03  14

# Ba6Mg7F26
Calculated powder XRD pattern, Cu Kα X-rays. Input: a PBE-relaxed structure.

Crystal structure
Lattice parameters (Å, degrees): 10.2888 10.2888 10.2888 146.55 106.48 83.22
Atoms (fractional coordinates):
Ba1 0.1126 0.3509 0.7617
Ba2 0.1472 0.1472 0.0000
Ba3 0.4108 0.6491 0.7617
Ba4 0.5892 0.3509 0.2383
Ba5 0.8528 0.8528 0.0000
Ba6 0.8874 0.6491 0.2383
Mg1 0.0000 0.5000 0.5000
Mg2 0.2315 0.0000 0.2315
Mg3 0.2795 0.7795 0.5000
Mg4 0.5000 0.2526 0.7526
Mg5 0.5000 0.7474 0.2474
Mg6 0.7205 0.2205 0.5000
Mg7 0.7685 0.0000 0.7685
F1 0.0920 0.8741 0.2180
F2 0.1119 0.2508 0.3627
F3 0.1119 0.7492 0.8611
F4 0.1295 0.6295 0.5000
F5 0.1443 0.5261 0.1548
F6 0.1443 0.9895 0.6182
F7 0.3366 0.2557 0.5923
F8 0.3366 0.7443 0.0808
F9 0.3439 0.1259 0.2180
F10 0.3713 0.5261 0.3818
F11 0.3713 0.9895 0.8452
F12 0.4109 0.9109 0.5000
F13 0.4125 0.4125 0.0000
F14 0.5875 0.5875 0.0000
F15 0.5891 0.0891 0.5000
F16 0.6287 0.0105 0.1548
F17 0.6287 0.4739 0.6182
F18 0.6561 0.8741 0.7820
F19 0.6634 0.2557 0.9192
F20 0.6634 0.7443 0.4077
F21 0.8557 0.0105 0.3818
F22 0.8557 0.4739 0.8452
F23 0.8705 0.3705 0.5000
F24 0.8881 0.2508 0.1389
F25 0.8881 0.7492 0.6373
F26 0.9080 0.1259 0.7820

Principal peaks in the range 10 to 90 degrees two-theta, by angle:
2θ (°)  I_rel
21.61  30
27.18  100
29.00  26
30.19  19
37.42  29
38.37  39
42.35  42
46.44  20
50.30  18
51.80  17